Starting from a structure optimized by DFT (GGA-PBE), the PXRD pattern of KRbBiSb was computed for Cu Kα.
No peak broadening, texture or thermal motion is included.

Crystal structure
Unit cell a=4.757 b=5.743 c=13.018 alpha=90.00 beta=90.00 gamma=90.00
Space group Amm2 (No. 38)
Unique sites:
K1 0.000 0.000 0.000 [2 per cell]
Rb1 0.500 0.000 0.266 [2 per cell]
Bi1 0.000 0.000 0.696 [2 per cell]
Sb1 0.500 0.000 0.555 [2 per cell]

Principal peaks in the range 2θ = 10–80°, low angle first:
d [Å]	2θ (°)	I/Imax	index
6.509	13.6	59	0 0 2
5.254	16.9	67	0 1 1
3.526	25.3	80	1 1 1
3.462	25.7	23	0 1 3
2.872	31.1	37	0 2 0
2.799	32.0	100	1 1 3
2.686	33.4	37	1 0 4
2.378	37.8	22	2 0 0
1.961	46.3	39	1 2 4
1.644	55.9	20	1 3 3

Starting from a structure optimized by DFT (GGA-PBE), the PXRD pattern of K4Rb2SnBi2 was computed for Cu Kα.
No peak broadening, texture or thermal motion is included.

Crystal structure
Unit cell a=16.610 b=9.477 c=5.850 alpha=90.00 beta=110.53 gamma=90.00
Space group C2/m (No. 12)
Unique sites:
K1 0.133 0.199 0.134 [8 per cell]
Rb1 0.137 0.500 0.638 [4 per cell]
Sn1 0.000 0.000 0.500 [2 per cell]
Bi1 0.209 0.000 0.709 [4 per cell]

Principal peaks in the range 2θ = 10–80°, low angle first:
d [Å]	2θ (°)	I/Imax	index
7.778	11.4	55	2 0 0
4.978	17.8	48	1 1 -1
4.738	18.7	78	0 2 0
3.583	24.8	92	2 2 -1
3.065	29.1	100	3 1 1
3.003	29.8	70	2 2 1
2.956	30.2	48	5 1 0
2.925	30.6	56	2 0 -2
2.747	32.6	41	4 0 1
2.079	43.5	38	7 1 -2

Starting from a structure optimized by DFT (GGA-PBE), the PXRD pattern of K2RbTl2Bi2 was computed for Cu Kα.
No peak broadening, texture or thermal motion is included.

Crystal structure
Unit cell a=5.8865 b=5.8865 c=25.6301 alpha=90.00 beta=90.00 gamma=120.00
Space group R-3m (No. 166, hexagonal axes)
Unique sites:
K1 0.0000 0.0000 0.1467 [6 per cell]
Rb1 0.0000 0.0000 0.0000 [3 per cell]
Tl1 0.0000 0.0000 0.2876 [6 per cell]
Bi1 0.0000 0.0000 0.4222 [6 per cell]

Principal peaks in the range 2θ = 10–80°, low angle first:
d [Å]	2θ (°)	I/Imax	index
8.543	10.4	20	0 0 3
5.000	17.7	37	1 0 1
2.974	30.0	99	1 0 7
2.943	30.4	100	1 1 0
2.092	43.2	37	0 2 7
1.723	53.2	18	0 1 14
1.705	53.8	39	2 1 7
1.699	54.0	20	3 0 0
1.327	71.0	15	1 2 14
1.319	71.5	17	1 3 7

Starting from a structure optimized by DFT (GGA-PBE), the PXRD pattern of K2Bi4Rh3 was computed for Cu Kα.
No peak broadening, texture or thermal motion is included.

Crystal structure
Unit cell a=6.196 b=10.930 c=14.414 alpha=90.00 beta=90.00 gamma=90.00
Space group Fmmm (No. 69)
Unique sites:
K1 0.000 0.000 0.119 [8 per cell]
Bi1 0.000 0.167 0.357 [16 per cell]
Rh1 0.000 0.000 0.500 [4 per cell]
Rh2 0.250 0.250 0.000 [8 per cell]

Principal peaks in the range 2θ = 10–80°, low angle first:
d [Å]	2θ (°)	I/Imax	index
5.465	16.2	35	0 2 0
5.049	17.6	55	1 1 1
3.098	28.8	31	2 0 0
3.069	29.1	41	1 3 1
2.629	34.1	100	1 3 3
2.349	38.3	39	2 0 4
2.158	41.9	27	2 2 4
1.722	53.2	21	1 3 7
1.683	54.5	27	3 3 3
1.570	58.8	19	2 6 0